Entry 1:
Dy4Tl: theoretical PXRD pattern (Cu Kα (λ = 1.5418 Å)), based on the GGA-PBE geometry in Alexandria.
Peak positions follow from Bragg's law for the DFT cell and can differ from measured ones.

Structure:
a b c (Å): 8.7108 6.6600 10.0510
angles (deg): 58.73 40.80 80.47
Fractional coordinates of all 10 atoms:
Dy1 0.0166 0.4834 0.0837
Dy2 0.1663 0.8337 0.2334
Dy3 0.4567 0.5559 0.3446
Dy4 0.4834 0.0166 0.4163
Dy5 0.5559 0.4567 0.6428
Dy6 0.6072 0.9054 0.6941
Dy7 0.8337 0.1663 0.7666
Dy8 0.9054 0.6072 0.7933
Tl1 0.0384 0.0384 0.9616
Tl2 0.2884 0.2884 0.2116

Most intense lines, 2θ = 10–90°, sorted by position:
2θ/deg	intensity
30.32	228
31.60	260
31.96	1000
32.30	271
32.64	775
34.50	160
38.74	373
53.06	224
58.84	152
64.67	137

Entry 2:
Dy2Tl3: theoretical PXRD pattern (Cu Kα (λ = 1.5418 Å)), based on the GGA-PBE geometry in Alexandria.
Peak positions follow from Bragg's law for the DFT cell and can differ from measured ones.

Structure:
a b c (Å): 12.6730 3.7701 12.0628
angles (deg): 90.00 90.00 90.00
Fractional coordinates of all 20 atoms:
Dy1 0.0092 0.2500 0.1466
Dy2 0.1428 0.2500 0.5532
Dy3 0.3572 0.7500 0.0532
Dy4 0.4908 0.7500 0.6466
Dy5 0.5092 0.2500 0.3534
Dy6 0.6428 0.2500 0.9468
Dy7 0.8572 0.7500 0.4468
Dy8 0.9908 0.7500 0.8534
Tl1 0.0814 0.7500 0.3457
Tl2 0.1720 0.2500 0.9555
Tl3 0.2359 0.7500 0.7451
Tl4 0.2641 0.2500 0.2451
Tl5 0.3280 0.7500 0.4555
Tl6 0.4186 0.2500 0.8457
Tl7 0.5814 0.7500 0.1543
Tl8 0.6720 0.2500 0.5445
Tl9 0.7359 0.7500 0.7549
Tl10 0.7641 0.2500 0.2549
Tl11 0.8280 0.7500 0.0445
Tl12 0.9186 0.2500 0.6543

Most intense lines, 2θ = 10–90°, sorted by position:
2θ/deg	intensity
28.80	1000
31.34	941
31.91	498
32.56	747
32.89	713
35.58	630
37.83	939
40.01	769
48.28	484
63.53	665

Entry 3:
Dy7Tl5: theoretical PXRD pattern (Cu Kα (λ = 1.5418 Å)), based on the GGA-PBE geometry in Alexandria.
Peak positions follow from Bragg's law for the DFT cell and can differ from measured ones.

Structure:
a b c (Å): 6.5540 6.5540 12.1883
angles (deg): 108.36 108.36 45.34
Fractional coordinates of all 12 atoms:
Dy1 0.0000 0.0000 0.0000
Dy2 0.1485 0.1485 0.7870
Dy3 0.1514 0.1514 0.5050
Dy4 0.4307 0.4307 0.7350
Dy5 0.5693 0.5693 0.2650
Dy6 0.8486 0.8486 0.4950
Dy7 0.8515 0.8515 0.2130
Tl1 0.2318 0.2318 0.2819
Tl2 0.3465 0.3465 0.0319
Tl3 0.5000 0.5000 0.5000
Tl4 0.6535 0.6535 0.9681
Tl5 0.7682 0.7682 0.7181

Most intense lines, 2θ = 10–90°, sorted by position:
2θ/deg	intensity
29.33	182
31.23	488
32.30	1000
32.55	931
35.54	526
39.25	138
48.03	320
56.10	146
61.80	165
61.95	150

Entry 4:
DyTl3: theoretical PXRD pattern (Cu Kα (λ = 1.5418 Å)), based on the GGA-PBE geometry in Alexandria.
Peak positions follow from Bragg's law for the DFT cell and can differ from measured ones.

Structure:
a b c (Å): 3.7412 11.0594 5.4698
angles (deg): 90.00 90.00 90.00
Fractional coordinates of all 8 atoms:
Dy1 0.0000 0.0000 0.0000
Dy2 0.5000 0.5000 0.5000
Tl1 0.0000 0.2538 0.6316
Tl2 0.0000 0.5000 0.0105
Tl3 0.0000 0.7462 0.6316
Tl4 0.5000 0.0000 0.5105
Tl5 0.5000 0.2462 0.1316
Tl6 0.5000 0.7538 0.1316

Most intense lines, 2θ = 10–90°, sorted by position:
2θ/deg	intensity
28.91	127
32.38	313
32.75	151
33.23	1000
36.66	228
46.72	114
56.12	115
58.30	203
59.68	112
66.30	140

Entry 5:
Dy3Tm5Tl2: theoretical PXRD pattern (Cu Kα (λ = 1.5418 Å)), based on the GGA-PBE geometry in Alexandria.
Peak positions follow from Bragg's law for the DFT cell and can differ from measured ones.

Structure:
a b c (Å): 10.4534 10.4534 10.4534
angles (deg): 105.26 85.49 144.63
Fractional coordinates of all 20 atoms:
Dy1 0.2255 0.1199 0.3454
Dy2 0.2500 0.2500 0.0000
Dy3 0.2745 0.6199 0.8944
Dy4 0.7255 0.3801 0.1056
Dy5 0.7500 0.7500 0.0000
Dy6 0.7745 0.8801 0.6546
Tm1 0.1647 0.3859 0.5506
Tm2 0.2500 0.5023 0.2523
Tm3 0.2500 0.7500 0.5000
Tm4 0.2500 0.9977 0.7477
Tm5 0.3353 0.8859 0.2212
Tm6 0.6647 0.1141 0.7788
Tm7 0.7500 0.0023 0.2523
Tm8 0.7500 0.2500 0.5000
Tm9 0.7500 0.4977 0.7477
Tm10 0.8353 0.6141 0.4494
Tl1 0.1458 0.8662 0.0121
Tl2 0.3542 0.3662 0.7204
Tl3 0.6458 0.6338 0.2796
Tl4 0.8542 0.1338 0.9879

Most intense lines, 2θ = 10–90°, sorted by position:
2θ/deg	intensity
20.62	139
26.41	193
30.48	1000
35.07	136
35.42	378
36.74	345
40.18	454
54.38	156
54.62	211
58.13	164

Entry 6:
Dy3Tm2Tl7: theoretical PXRD pattern (Cu Kα (λ = 1.5418 Å)), based on the GGA-PBE geometry in Alexandria.
Peak positions follow from Bragg's law for the DFT cell and can differ from measured ones.

Structure:
a b c (Å): 13.0634 13.0634 5.3758
angles (deg): 90.00 90.00 156.83
Fractional coordinates of all 12 atoms:
Dy1 0.0000 0.0000 0.0000
Dy2 0.1532 0.8468 0.0000
Dy3 0.8468 0.1532 0.0000
Tm1 0.3472 0.6528 0.5000
Tm2 0.6528 0.3472 0.5000
Tl1 0.0767 0.9233 0.5000
Tl2 0.2207 0.7793 0.5000
Tl3 0.4174 0.5826 0.0000
Tl4 0.5000 0.5000 0.5000
Tl5 0.5826 0.4174 0.0000
Tl6 0.7793 0.2207 0.5000
Tl7 0.9233 0.0767 0.5000

Most intense lines, 2θ = 10–90°, sorted by position:
2θ/deg	intensity
16.49	69
29.50	188
33.33	305
34.18	290
34.23	1000
48.49	216
60.15	201
61.25	254
72.11	78
81.24	88

Entry 7:
Dy6Tm2Tl: theoretical PXRD pattern (Cu Kα (λ = 1.5418 Å)), based on the GGA-PBE geometry in Alexandria.
Peak positions follow from Bragg's law for the DFT cell and can differ from measured ones.

Structure:
a b c (Å): 10.5647 10.5647 4.8679
angles (deg): 90.00 90.00 90.00
Fractional coordinates of all 18 atoms:
Dy1 0.0004 0.3354 0.0000
Dy2 0.9996 0.6646 0.0000
Dy3 0.1617 0.1617 0.5000
Dy4 0.1646 0.5004 0.5000
Dy5 0.3354 0.0004 0.0000
Dy6 0.3383 0.6617 0.0000
Dy7 0.5004 0.1646 0.5000
Dy8 0.4996 0.8354 0.5000
Dy9 0.6617 0.3383 0.0000
Dy10 0.6646 0.9996 0.0000
Dy11 0.8354 0.4996 0.5000
Dy12 0.8383 0.8383 0.5000
Tm1 0.1631 0.8369 0.5000
Tm2 0.3369 0.3369 0.0000
Tm3 0.6631 0.6631 0.0000
Tm4 0.8369 0.1631 0.5000
Tl1 0.0000 0.0000 0.0000
Tl2 0.5000 0.5000 0.5000

Most intense lines, 2θ = 10–90°, sorted by position:
2θ/deg	intensity
31.35	1000
36.07	343
36.93	162
51.93	121
52.58	236
61.93	286
63.08	137
65.42	122
85.00	59
86.03	118

Entry 8:
Dy3Tm6Tl: theoretical PXRD pattern (Cu Kα (λ = 1.5418 Å)), based on the GGA-PBE geometry in Alexandria.
Peak positions follow from Bragg's law for the DFT cell and can differ from measured ones.

Structure:
a b c (Å): 10.8485 10.8485 6.1238
angles (deg): 90.00 90.00 122.37
Fractional coordinates of all 20 atoms:
Dy1 0.1043 0.8957 0.5000
Dy2 0.2132 0.4526 0.1582
Dy3 0.4526 0.2132 0.6582
Dy4 0.5474 0.7868 0.1582
Dy5 0.7868 0.5474 0.6582
Dy6 0.8957 0.1043 0.0000
Tm1 0.0681 0.4645 0.6899
Tm2 0.1262 0.2088 0.5262
Tm3 0.2088 0.1262 0.0262
Tm4 0.2137 0.7863 0.9272
Tm5 0.4419 0.5581 0.6705
Tm6 0.4645 0.0681 0.1899
Tm7 0.5355 0.9319 0.6899
Tm8 0.5581 0.4419 0.1705
Tm9 0.7863 0.2137 0.4272
Tm10 0.7912 0.8738 0.5262
Tm11 0.8738 0.7912 0.0262
Tm12 0.9319 0.5355 0.1899
Tl1 0.2635 0.7365 0.4157
Tl2 0.7365 0.2635 0.9157

Most intense lines, 2θ = 10–90°, sorted by position:
2θ/deg	intensity
29.22	569
29.28	548
29.86	198
30.79	355
31.80	1000
32.77	692
33.93	309
35.26	599
36.25	199
51.78	200

Entry 9:
DyTm4Tl2: theoretical PXRD pattern (Cu Kα (λ = 1.5418 Å)), based on the GGA-PBE geometry in Alexandria.
Peak positions follow from Bragg's law for the DFT cell and can differ from measured ones.

Structure:
a b c (Å): 6.7883 6.7883 10.5707
angles (deg): 90.00 90.00 120.18
Fractional coordinates of all 14 atoms:
Dy1 0.0000 0.0000 0.0000
Dy2 0.5000 0.5000 0.5000
Tm1 0.0443 0.9557 0.6713
Tm2 0.0556 0.4444 0.7500
Tm3 0.4444 0.0556 0.2500
Tm4 0.4557 0.5443 0.1713
Tm5 0.5443 0.4557 0.8287
Tm6 0.5556 0.9444 0.7500
Tm7 0.9444 0.5556 0.2500
Tm8 0.9557 0.0443 0.3287
Tl1 0.2367 0.7633 0.4843
Tl2 0.2633 0.7367 0.9843
Tl3 0.7367 0.2633 0.0157
Tl4 0.7633 0.2367 0.5157

Most intense lines, 2θ = 10–90°, sorted by position:
2θ/deg	intensity
26.33	334
29.57	702
30.40	554
31.37	899
31.60	860
34.97	1000
36.77	414
37.31	382
44.24	322
59.11	340

Entry 10:
Dy2Tm3Tl3: theoretical PXRD pattern (Cu Kα (λ = 1.5418 Å)), based on the GGA-PBE geometry in Alexandria.
Peak positions follow from Bragg's law for the DFT cell and can differ from measured ones.

Structure:
a b c (Å): 3.7351 5.3306 22.3881
angles (deg): 90.00 90.00 90.00
Fractional coordinates of all 16 atoms:
Dy1 0.0000 0.0000 0.2353
Dy2 0.0000 0.0000 0.7647
Dy3 0.5000 0.5000 0.2647
Dy4 0.5000 0.5000 0.7353
Tm1 0.0000 0.0000 0.0000
Tm2 0.0000 0.5000 0.1262
Tm3 0.0000 0.5000 0.8738
Tm4 0.5000 0.0000 0.3738
Tm5 0.5000 0.0000 0.6262
Tm6 0.5000 0.5000 0.5000
Tl1 0.0000 0.0000 0.5000
Tl2 0.0000 0.5000 0.3816
Tl3 0.0000 0.5000 0.6184
Tl4 0.5000 0.0000 0.1184
Tl5 0.5000 0.0000 0.8816
Tl6 0.5000 0.5000 0.0000

Most intense lines, 2θ = 10–90°, sorted by position:
2θ/deg	intensity
31.98	249
33.38	1000
33.63	255
47.09	172
48.76	92
57.89	155
59.51	90
59.97	197
60.54	97
70.12	106

Entry 11:
Dy3Tm6Tl: theoretical PXRD pattern (Cu Kα (λ = 1.5418 Å)), based on the GGA-PBE geometry in Alexandria.
Peak positions follow from Bragg's law for the DFT cell and can differ from measured ones.

Structure:
a b c (Å): 12.5914 3.4634 14.0525
angles (deg): 90.00 100.62 90.00
Fractional coordinates of all 20 atoms:
Dy1 0.0747 0.2500 0.1003
Dy2 0.3707 0.7500 0.4964
Dy3 0.4227 0.2500 0.9031
Dy4 0.5773 0.7500 0.0969
Dy5 0.6293 0.2500 0.5036
Dy6 0.9253 0.7500 0.8997
Tm1 0.1156 0.2500 0.4675
Tm2 0.1922 0.7500 0.9238
Tm3 0.2260 0.7500 0.2848
Tm4 0.2483 0.7500 0.6911
Tm5 0.3421 0.2500 0.1177
Tm6 0.4898 0.2500 0.6906
Tm7 0.5102 0.7500 0.3094
Tm8 0.6579 0.7500 0.8823
Tm9 0.7517 0.2500 0.3089
Tm10 0.7740 0.2500 0.7152
Tm11 0.8078 0.2500 0.0762
Tm12 0.8844 0.7500 0.5325
Tl1 0.0340 0.2500 0.7213
Tl2 0.9660 0.7500 0.2787

Most intense lines, 2θ = 10–90°, sorted by position:
2θ/deg	intensity
30.85	492
31.73	719
32.38	1000
33.83	769
37.75	295
50.44	188
52.87	167
58.80	147
62.98	219
63.39	145

Entry 12:
DyTm2Tl2: theoretical PXRD pattern (Cu Kα (λ = 1.5418 Å)), based on the GGA-PBE geometry in Alexandria.
Peak positions follow from Bragg's law for the DFT cell and can differ from measured ones.

Structure:
a b c (Å): 5.2113 6.5696 9.0533
angles (deg): 103.17 90.07 113.27
Fractional coordinates of all 10 atoms:
Dy1 0.0658 0.1319 0.3540
Dy2 0.9342 0.8681 0.6460
Tm1 0.2506 0.5014 0.7515
Tm2 0.4316 0.8647 0.1423
Tm3 0.5684 0.1353 0.8577
Tm4 0.7494 0.4986 0.2485
Tl1 0.1373 0.2731 0.0433
Tl2 0.3640 0.7275 0.4512
Tl3 0.6360 0.2725 0.5488
Tl4 0.8627 0.7269 0.9567

Most intense lines, 2θ = 10–90°, sorted by position:
2θ/deg	intensity
32.31	1000
34.37	922
47.84	226
47.98	112
56.26	162
60.22	228
60.32	114
61.61	126
67.62	94
72.37	72

What did the fifth record say?
Dy3Tm5Tl2: theoretical PXRD pattern (Cu Kα (λ = 1.5418 Å)), based on the GGA-PBE geometry in Alexandria.
Peak positions follow from Bragg's law for the DFT cell and can differ from measured ones.

Structure:
a b c (Å): 10.4534 10.4534 10.4534
angles (deg): 105.26 85.49 144.63
Fractional coordinates of all 20 atoms:
Dy1 0.2255 0.1199 0.3454
Dy2 0.2500 0.2500 0.0000
Dy3 0.2745 0.6199 0.8944
Dy4 0.7255 0.3801 0.1056
Dy5 0.7500 0.7500 0.0000
Dy6 0.7745 0.8801 0.6546
Tm1 0.1647 0.3859 0.5506
Tm2 0.2500 0.5023 0.2523
Tm3 0.2500 0.7500 0.5000
Tm4 0.2500 0.9977 0.7477
Tm5 0.3353 0.8859 0.2212
Tm6 0.6647 0.1141 0.7788
Tm7 0.7500 0.0023 0.2523
Tm8 0.7500 0.2500 0.5000
Tm9 0.7500 0.4977 0.7477
Tm10 0.8353 0.6141 0.4494
Tl1 0.1458 0.8662 0.0121
Tl2 0.3542 0.3662 0.7204
Tl3 0.6458 0.6338 0.2796
Tl4 0.8542 0.1338 0.9879

Most intense lines, 2θ = 10–90°, sorted by position:
2θ/deg	intensity
20.62	139
26.41	193
30.48	1000
35.07	136
35.42	378
36.74	345
40.18	454
54.38	156
54.62	211
58.13	164